Te6Br2O11: theoretical X-ray diffraction stick pattern (Cu Kα (weighted mean of Kα1 and Kα2)), based on a DFT-relaxed cell (GGA-PBE, the Materials Project).

Peak list (10 most intense, 10 to 90 degrees two-theta, low angle first)
2θ 18.4, I = 17
2θ 22.3, I = 42
2θ 25.6, I = 58
2θ 26.8, I = 14
2θ 30.6, I = 100
2θ 33.7, I = 14
2θ 34.1, I = 18
2θ 37.0, I = 21
2θ 45.1, I = 16
2θ 55.5, I = 16

Crystal structure
Unit cell a=6.969 b=6.969 c=15.938 alpha=90.00 beta=90.00 gamma=60.28
Element x y z (fractional)
Te: 0.069 0.931 0.642
Te: 0.069 0.931 0.858
Te: 0.216 0.475 0.085
Te: 0.216 0.475 0.415
Te: 0.475 0.216 0.585
Te: 0.475 0.216 0.915
Te: 0.525 0.784 0.085
Te: 0.525 0.784 0.415
Te: 0.784 0.525 0.585
Te: 0.784 0.525 0.915
Te: 0.931 0.069 0.142
Te: 0.931 0.069 0.358
Br: 0.138 0.528 0.750
Br: 0.472 0.862 0.750
Br: 0.528 0.138 0.250
Br: 0.862 0.472 0.250
O: 0.038 0.202 0.596
O: 0.038 0.202 0.904
O: 0.073 0.927 0.250
O: 0.185 0.516 0.535
O: 0.185 0.516 0.965
O: 0.202 0.038 0.096
O: 0.202 0.038 0.404
O: 0.425 0.575 0.113
O: 0.425 0.575 0.387
O: 0.484 0.815 0.535
O: 0.484 0.815 0.965
O: 0.516 0.185 0.035
O: 0.516 0.185 0.465
O: 0.575 0.425 0.613
O: 0.575 0.425 0.887
O: 0.798 0.962 0.596
O: 0.798 0.962 0.904
O: 0.815 0.484 0.035
O: 0.815 0.484 0.465
O: 0.927 0.073 0.750
O: 0.962 0.798 0.096
O: 0.962 0.798 0.404